1.
Simulated X-ray powder pattern
Compound: GeOs
Radiation: Cu Kα
Structure: the PBE geometry in Alexandria

Atomic structure:
Cell: 4.707 4.707 4.651 Å, 108.17 108.17 37.35°
Atoms (fractional coordinates):
Ge (0.116, 0.116, 0.317)
Ge (0.884, 0.884, 0.683)
Os (0.370, 0.370, 0.203)
Os (0.630, 0.630, 0.797)

Top 10 peaks for 2θ = 5–70°, in order of rising 2θ:
2θ 23.98, rel. 44; 2θ 35.71, rel. 32; 2θ 39.55, rel. 22; 2θ 39.68, rel. 100; 2θ 41.11, rel. 34; 2θ 42.96, rel. 48; 2θ 43.93, rel. 71; 2θ 49.11, rel. 20; 2θ 61.52, rel. 17; 2θ 69.26, rel. 21



2.
Simulated X-ray powder pattern
Compound: Ce4Dy2Bi3N2
Radiation: Cu Kα
Structure: the PBE geometry in Alexandria

Atomic structure:
Cell: 13.750 13.750 13.750 Å, 160.28 160.28 28.02°
Atoms (fractional coordinates):
Ce (0.087, 0.587, 0.500)
Ce (0.413, 0.913, 0.500)
Ce (0.587, 0.087, 0.500)
Ce (0.913, 0.413, 0.500)
Dy (0.194, 0.194, 0.000)
Dy (0.806, 0.806, 0.000)
Bi (0.316, 0.316, 0.000)
Bi (0.500, 0.500, 0.000)
Bi (0.684, 0.684, 0.000)
N (0.109, 0.109, 0.000)
N (0.891, 0.891, 0.000)

Top 10 peaks for 2θ = 5–70°, in order of rising 2θ:
2θ 19.14, rel. 12; 2θ 26.75, rel. 19; 2θ 27.62, rel. 29; 2θ 30.00, rel. 19; 2θ 33.62, rel. 100; 2θ 38.23, rel. 48; 2θ 51.79, rel. 20; 2θ 55.18, rel. 15; 2θ 62.30, rel. 23; 2θ 66.19, rel. 34



3.
Simulated X-ray powder pattern
Compound: HgRu3S
Radiation: Cu Kα
Structure: the PBE geometry in Alexandria

Atomic structure:
Cell: 4.370 4.370 4.370 Å, 90.00 90.00 90.00°
Atoms (fractional coordinates):
Hg (0.000, 0.000, 0.000)
Ru (0.000, 0.500, 0.500)
Ru (0.500, 0.000, 0.500)
Ru (0.500, 0.500, 0.000)
S (0.500, 0.500, 0.500)

Top 9 peaks for 2θ = 5–70°, in order of rising 2θ:
2θ 20.32, rel. 4; 2θ 28.90, rel. 19; 2θ 35.59, rel. 100; 2θ 41.32, rel. 64; 2θ 46.47, rel. 3; 2θ 51.21, rel. 8; 2θ 59.87, rel. 42; 2θ 63.91, rel. 2; 2θ 67.82, rel. 4



4.
Simulated X-ray powder pattern
Compound: Ti12CoGe6
Radiation: Cu Kα
Structure: the PBE geometry in Alexandria

Atomic structure:
Cell: 7.167 7.167 7.167 Å, 100.21 100.21 100.21°
Atoms (fractional coordinates):
Ti (0.014, 0.946, 0.680)
Ti (0.054, 0.320, 0.986)
Ti (0.192, 0.547, 0.415)
Ti (0.320, 0.986, 0.054)
Ti (0.415, 0.192, 0.547)
Ti (0.453, 0.585, 0.808)
Ti (0.547, 0.415, 0.192)
Ti (0.585, 0.808, 0.453)
Ti (0.680, 0.014, 0.946)
Ti (0.808, 0.453, 0.585)
Ti (0.946, 0.680, 0.014)
Ti (0.986, 0.054, 0.320)
Co (0.000, 0.000, 0.000)
Ge (0.124, 0.318, 0.645)
Ge (0.318, 0.645, 0.124)
Ge (0.355, 0.876, 0.682)
Ge (0.645, 0.124, 0.318)
Ge (0.682, 0.355, 0.876)
Ge (0.876, 0.682, 0.355)

Top 10 peaks for 2θ = 5–70°, in order of rising 2θ:
2θ 26.32, rel. 100; 2θ 26.82, rel. 32; 2θ 35.15, rel. 29; 2θ 37.28, rel. 32; 2θ 38.57, rel. 77; 2θ 39.24, rel. 23; 2θ 43.55, rel. 50; 2θ 44.19, rel. 59; 2θ 45.31, rel. 41; 2θ 51.60, rel. 24



5.
Simulated X-ray powder pattern
Compound: TcMo2Os
Radiation: Cu Kα
Structure: the PBE geometry in Alexandria

Atomic structure:
Cell: 5.156 5.156 5.156 Å, 144.80 128.70 63.75°
Atoms (fractional coordinates):
Tc (0.000, 0.000, 0.000)
Mo (0.241, 0.741, 0.500)
Mo (0.759, 0.259, 0.500)
Os (0.500, 0.500, 0.000)

Top 10 peaks for 2θ = 5–70°, in order of rising 2θ:
2θ 20.28, rel. 5; 2θ 22.35, rel. 5; 2θ 30.43, rel. 4; 2θ 35.10, rel. 3; 2θ 36.79, rel. 4; 2θ 40.41, rel. 26; 2θ 40.87, rel. 100; 2θ 41.23, rel. 24; 2θ 59.11, rel. 16; 2θ 59.26, rel. 8



6.
Simulated X-ray powder pattern
Compound: BeIn2Au6
Radiation: Cu Kα
Structure: the PBE geometry in Alexandria

Atomic structure:
Cell: 3.624 7.763 7.763 Å, 128.18 90.00 90.00°
Atoms (fractional coordinates):
Be (0.000, 0.000, 0.000)
In (0.500, 0.303, 0.690)
In (0.500, 0.690, 0.303)
Au (0.000, 0.017, 0.337)
Au (0.000, 0.337, 0.017)
Au (0.000, 0.603, 0.603)
Au (0.500, 0.272, 0.272)
Au (0.500, 0.760, 0.970)
Au (0.500, 0.970, 0.760)

Top 10 peaks for 2θ = 5–70°, in order of rising 2θ:
2θ 23.17, rel. 15; 2θ 34.02, rel. 100; 2θ 34.74, rel. 38; 2θ 36.28, rel. 52; 2θ 38.57, rel. 31; 2θ 40.41, rel. 20; 2θ 43.01, rel. 29; 2θ 44.54, rel. 25; 2θ 50.36, rel. 22; 2θ 66.48, rel. 19



7.
Simulated X-ray powder pattern
Compound: Cu8Pd2Pt3
Radiation: Cu Kα
Structure: the PBE geometry in Alexandria

Atomic structure:
Cell: 9.864 9.864 9.864 Å, 27.70 27.70 27.70°
Atoms (fractional coordinates):
Cu (0.227, 0.227, 0.227)
Cu (0.230, 0.230, 0.729)
Cu (0.230, 0.729, 0.230)
Cu (0.271, 0.770, 0.770)
Cu (0.729, 0.230, 0.230)
Cu (0.770, 0.271, 0.770)
Cu (0.770, 0.770, 0.271)
Cu (0.773, 0.773, 0.773)
Pd (0.140, 0.140, 0.140)
Pd (0.860, 0.860, 0.860)
Pt (0.316, 0.316, 0.316)
Pt (0.500, 0.500, 0.500)
Pt (0.684, 0.684, 0.684)

Top 10 peaks for 2θ = 5–70°, in order of rising 2θ:
2θ 21.96, rel. 13; 2θ 26.85, rel. 48; 2θ 38.11, rel. 71; 2θ 41.31, rel. 100; 2θ 42.79, rel. 64; 2θ 44.78, rel. 29; 2θ 46.19, rel. 12; 2θ 47.11, rel. 13; 2θ 47.23, rel. 34; 2θ 68.88, rel. 13



8.
Simulated X-ray powder pattern
Compound: TbSn2P2Pd7
Radiation: Cu Kα
Structure: the PBE geometry in Alexandria

Atomic structure:
Cell: 4.128 4.128 12.800 Å, 96.21 96.21 89.24°
Atoms (fractional coordinates):
Tb (0.000, 0.000, 0.000)
Sn (0.103, 0.103, 0.347)
Sn (0.897, 0.897, 0.653)
P (0.412, 0.412, 0.731)
P (0.588, 0.588, 0.269)
Pd (0.054, 0.555, 0.168)
Pd (0.293, 0.293, 0.548)
Pd (0.445, 0.946, 0.832)
Pd (0.500, 0.500, 0.000)
Pd (0.555, 0.054, 0.168)
Pd (0.707, 0.707, 0.452)
Pd (0.946, 0.445, 0.832)

Top 10 peaks for 2θ = 5–70°, in order of rising 2θ:
2θ 6.99, rel. 45; 2θ 32.03, rel. 22; 2θ 34.02, rel. 41; 2θ 34.74, rel. 57; 2θ 35.94, rel. 38; 2θ 37.67, rel. 99; 2θ 38.78, rel. 22; 2θ 40.30, rel. 22; 2θ 42.89, rel. 26; 2θ 43.95, rel. 100



9.
Simulated X-ray powder pattern
Compound: Dy8Ge5Te
Radiation: Cu Kα
Structure: the PBE geometry in Alexandria

Atomic structure:
Cell: 7.699 7.699 7.699 Å, 109.19 109.19 110.04°
Atoms (fractional coordinates):
Dy (0.232, 0.490, 0.600)
Dy (0.368, 0.768, 0.258)
Dy (0.374, 0.253, 0.255)
Dy (0.510, 0.110, 0.742)
Dy (0.747, 0.002, 0.120)
Dy (0.881, 0.626, 0.880)
Dy (0.890, 0.632, 0.400)
Dy (0.998, 0.119, 0.745)
Ge (0.123, 0.003, 0.381)
Ge (0.257, 0.877, 0.880)
Ge (0.623, 0.743, 0.619)
Ge (0.750, 0.250, 0.500)
Ge (0.997, 0.377, 0.120)
Te (0.500, 0.500, 0.000)

Top 10 peaks for 2θ = 5–70°, in order of rising 2θ:
2θ 24.49, rel. 14; 2θ 28.45, rel. 18; 2θ 31.74, rel. 100; 2θ 32.03, rel. 52; 2θ 37.80, rel. 73; 2θ 38.00, rel. 24; 2θ 50.19, rel. 17; 2θ 52.31, rel. 19; 2θ 52.66, rel. 14; 2θ 64.42, rel. 17



10.
Simulated X-ray powder pattern
Compound: RbReN2
Radiation: Cu Kα
Structure: the PBE geometry in Alexandria

Atomic structure:
Cell: 8.058 6.280 12.375 Å, 90.00 90.00 90.00°
Atoms (fractional coordinates):
Rb (0.116, 0.102, 0.250)
Rb (0.116, 0.398, 0.750)
Rb (0.370, 0.250, 0.000)
Rb (0.370, 0.250, 0.500)
Rb (0.630, 0.750, 0.000)
Rb (0.630, 0.750, 0.500)
Rb (0.884, 0.602, 0.250)
Rb (0.884, 0.898, 0.750)
Re (0.128, 0.750, 0.000)
Re (0.128, 0.750, 0.500)
Re (0.382, 0.654, 0.250)
Re (0.382, 0.846, 0.750)
Re (0.618, 0.154, 0.250)
Re (0.618, 0.346, 0.750)
Re (0.872, 0.250, 0.000)
Re (0.872, 0.250, 0.500)
N (0.000, 0.000, 0.000)
N (0.000, 0.000, 0.500)
N (0.000, 0.500, 0.000)
N (0.000, 0.500, 0.500)
N (0.261, 0.711, 0.124)
N (0.261, 0.711, 0.376)
N (0.261, 0.789, 0.624)
N (0.261, 0.789, 0.876)
N (0.450, 0.135, 0.750)
N (0.450, 0.365, 0.250)
N (0.550, 0.635, 0.750)
N (0.550, 0.865, 0.250)
N (0.739, 0.211, 0.124)
N (0.739, 0.211, 0.376)
N (0.739, 0.289, 0.624)
N (0.739, 0.289, 0.876)

Top 10 peaks for 2θ = 5–70°, in order of rising 2θ:
2θ 17.91, rel. 21; 2θ 18.08, rel. 22; 2θ 27.27, rel. 19; 2θ 28.42, rel. 14; 2θ 28.86, rel. 37; 2θ 29.34, rel. 15; 2θ 30.05, rel. 100; 2θ 34.21, rel. 14; 2θ 51.89, rel. 22; 2θ 54.35, rel. 14



11.
Simulated X-ray powder pattern
Compound: Ti4Al11Ni
Radiation: Cu Kα
Structure: the PBE geometry in Alexandria

Atomic structure:
Cell: 3.898 3.898 16.320 Å, 90.00 90.00 90.00°
Atoms (fractional coordinates):
Ti (0.000, 0.000, 0.000)
Ti (0.000, 0.000, 0.233)
Ti (0.500, 0.500, 0.492)
Ti (0.500, 0.500, 0.732)
Al (0.000, 0.000, 0.478)
Al (0.000, 0.000, 0.738)
Al (0.000, 0.500, 0.122)
Al (0.000, 0.500, 0.352)
Al (0.000, 0.500, 0.611)
Al (0.000, 0.500, 0.866)
Al (0.500, 0.000, 0.122)
Al (0.500, 0.000, 0.352)
Al (0.500, 0.000, 0.611)
Al (0.500, 0.000, 0.866)
Al (0.500, 0.500, 0.992)
Ni (0.500, 0.500, 0.235)

Top 10 peaks for 2θ = 5–70°, in order of rising 2θ:
2θ 5.42, rel. 19; 2θ 10.84, rel. 5; 2θ 21.78, rel. 6; 2θ 23.47, rel. 3; 2θ 32.49, rel. 4; 2θ 39.46, rel. 100; 2θ 44.41, rel. 16; 2θ 46.60, rel. 31; 2θ 66.33, rel. 18; 2θ 68.03, rel. 9



12.
Simulated X-ray powder pattern
Compound: Rb4PuU3S12
Radiation: Cu Kα
Structure: the PBE geometry in Alexandria

Atomic structure:
Cell: 9.031 9.031 9.031 Å, 109.47 109.47 109.47°
Atoms (fractional coordinates):
Rb (0.000, 0.000, 0.500)
Rb (0.000, 0.500, 0.000)
Rb (0.500, 0.000, 0.000)
Rb (0.500, 0.500, 0.500)
Pu (0.000, 0.000, 0.000)
U (0.000, 0.500, 0.500)
U (0.500, 0.000, 0.500)
U (0.500, 0.500, 0.000)
S (0.000, 0.257, 0.257)
S (0.000, 0.743, 0.743)
S (0.250, 0.500, 0.750)
S (0.250, 0.750, 0.500)
S (0.257, 0.000, 0.257)
S (0.257, 0.257, 0.000)
S (0.500, 0.250, 0.750)
S (0.500, 0.750, 0.250)
S (0.743, 0.000, 0.743)
S (0.743, 0.743, 0.000)
S (0.750, 0.250, 0.500)
S (0.750, 0.500, 0.250)

Top 10 peaks for 2θ = 5–70°, in order of rising 2θ:
2θ 17.00, rel. 44; 2θ 24.14, rel. 100; 2θ 34.40, rel. 45; 2θ 38.61, rel. 23; 2θ 42.47, rel. 47; 2θ 49.44, rel. 31; 2θ 52.66, rel. 12; 2θ 55.75, rel. 22; 2θ 61.62, rel. 11; 2θ 67.18, rel. 25